# LiAc2Fe2O6
Theoretical powder diffractogram, Cu Kα (λ = 1.5418 Å). Input: the GGA+U geometry in Alexandria.
Kinematic intensities with the Lorentz-polarization factor, no thermal factor.

The 8 most intense peaks (2θ = 10–90°), by intensity:
d [Å]	Position (°2θ)	Rel. int.
2.985	29.9	100
2.761	32.4	74
5.443	16.3	65
4.368	20.3	60
2.617	34.3	56
1.677	54.7	37
2.027	44.7	36
2.464	36.5	33

Cell and atoms:
```
LiAc2Fe2O6
1.0
2.9848 1.7233 5.4426
-2.9848 1.7233 5.4426
0.0000 -3.4465 5.4426
Li Ac Fe O
1 2 2 6
Cartesian
0.0000 0.0000 0.0000
0.0000 0.0000 3.3512
0.0000 0.0000 12.9765
0.0000 0.0000 6.9326
0.0000 0.0000 9.3952
-1.5965 -0.9217 9.3818
0.0000 -1.8435 6.9460
-1.5965 0.9217 6.9460
1.5965 -0.9217 9.3818
0.0000 1.8435 9.3818
1.5965 0.9217 6.9460
```